[1]
Diffraction record for K4TmNb3O12. The powder diffraction line list is simulated, not measured: it uses a cell relaxed with PBE and Cu Kα, 1.54184 Å.

Atomic structure:
```
data_K4TmNb3O12
_chemical_formula_sum 'K8 Tm2 Nb6 O24'
_symmetry_space_group_name_H-M 'I m -3 m'
_symmetry_Int_Tables_number 229
_symmetry_space_group_name_Hall '-I 4 2 3'
_cell_length_a 8.3023
_cell_length_b 8.3023
_cell_length_c 8.3023
_cell_angle_alpha 90.00
_cell_angle_beta 90.00
_cell_angle_gamma 90.00
loop_
_atom_site_label
_atom_site_fract_x
_atom_site_fract_y
_atom_site_fract_z
K1 0.2500 0.2500 0.2500
Tm1 0.0000 0.0000 0.0000
Nb1 0.0000 0.0000 0.5000
O1 0.0000 0.0000 0.2653
O2 0.0000 0.2500 0.5000
```

Most intense lines, 15° ≤ 2θ ≤ 90°, in order of rising 2θ:
(2 0 0), 2θ = 21.41°, rel. 52
(2 2 0), 2θ = 30.45°, rel. 100
(4 0 0), 2θ = 43.61°, rel. 38
(4 2 0), 2θ = 49.07°, rel. 22
(4 2 2), 2θ = 54.12°, rel. 38
(4 4 0), 2θ = 63.37°, rel. 22

***

[2]
Diffraction record for CaSmHo. The powder diffraction line list is simulated, not measured: it uses a cell relaxed with PBE and Cu Kα, 1.54184 Å.

Atomic structure:
```
data_CaSmHo
_chemical_formula_sum 'Ca2 Sm2 Ho2'
_symmetry_space_group_name_H-M 'P -1'
_symmetry_Int_Tables_number 2
_symmetry_space_group_name_Hall '-P 1'
_cell_length_a 3.6661
_cell_length_b 6.3444
_cell_length_c 9.2451
_cell_angle_alpha 76.68
_cell_angle_beta 89.90
_cell_angle_gamma 89.94
loop_
_atom_site_label
_atom_site_fract_x
_atom_site_fract_y
_atom_site_fract_z
Ca1 0.2501 0.2481 0.0023
Sm1 0.2510 0.4692 0.3462
Ho1 0.2490 0.0324 0.6514
```

Most intense lines, 15° ≤ 2θ ≤ 90°, in order of rising 2θ:
(0 2 0), 2θ = 28.90°, rel. 86
(0 0 3), 2θ = 29.79°, rel. 53
(1 1 -1), 2θ = 31.14°, rel. 79
(1 1 2), 2θ = 32.73°, rel. 100
(0 2 3), 2θ = 36.68°, rel. 55
(2 0 0), 2θ = 49.76°, rel. 40

***

[3]
Diffraction record for Ac3Sb2Rh3. The powder diffraction line list is simulated, not measured: it uses a cell relaxed with PBE and Cu Kα, 1.54184 Å.

Atomic structure:
```
data_Ac3Sb2Rh3
_chemical_formula_sum 'Ac12 Sb8 Rh12'
_symmetry_space_group_name_H-M 'C m c m'
_symmetry_Int_Tables_number 63
_symmetry_space_group_name_Hall '-C 2c 2'
_cell_length_a 4.5874
_cell_length_b 11.7643
_cell_length_c 15.5079
_cell_angle_alpha 90.00
_cell_angle_beta 90.00
_cell_angle_gamma 90.00
loop_
_atom_site_label
_atom_site_fract_x
_atom_site_fract_y
_atom_site_fract_z
Ac1 0.0000 0.0773 0.1077
Ac2 0.0000 0.3622 0.2500
Sb1 0.0000 0.2137 0.5917
Rh1 0.0000 0.3185 0.7500
Rh2 0.0000 0.3809 0.0385
```

Most intense lines, 15° ≤ 2θ ≤ 90°, in order of rising 2θ:
(1 3 1), 2θ = 30.54°, rel. 74
(1 1 4), 2θ = 31.15°, rel. 100
(0 0 6), 2θ = 34.73°, rel. 77
(0 4 3), 2θ = 35.10°, rel. 27
(1 3 4), 2θ = 38.08°, rel. 25
(2 0 0), 2θ = 39.28°, rel. 45

***

[4]
Diffraction record for Ba2PbF2. The powder diffraction line list is simulated, not measured: it uses a cell relaxed with PBE and Cu Kα, 1.54184 Å.

Atomic structure:
```
data_Ba2PbF2
_chemical_formula_sum 'Ba4 Pb2 F4'
_symmetry_space_group_name_H-M 'I 4/m m m'
_symmetry_Int_Tables_number 139
_symmetry_space_group_name_Hall '-I 4 2'
_cell_length_a 5.2617
_cell_length_b 5.2617
_cell_length_c 11.9541
_cell_angle_alpha 90.00
_cell_angle_beta 90.00
_cell_angle_gamma 90.00
loop_
_atom_site_label
_atom_site_fract_x
_atom_site_fract_y
_atom_site_fract_z
Ba1 0.0000 0.5000 0.2500
Pb1 0.0000 0.0000 0.0000
F1 0.0000 0.0000 0.3034
```

Most intense lines, 15° ≤ 2θ ≤ 90°, in order of rising 2θ:
(1 0 1), 2θ = 18.42°, rel. 52
(1 0 3), 2θ = 28.09°, rel. 30
(1 1 2), 2θ = 28.25°, rel. 100
(2 0 0), 2θ = 34.08°, rel. 42
(2 0 4), 2θ = 45.96°, rel. 32
(3 1 2), 2θ = 57.48°, rel. 32

***

[5]
Diffraction record for Rb2TlTcBr6. The powder diffraction line list is simulated, not measured: it uses a cell relaxed with PBE and Cu Kα, 1.54184 Å.

Atomic structure:
```
data_Rb2TlTcBr6
_chemical_formula_sum 'Rb12 Tl6 Tc6 Br36'
_symmetry_space_group_name_H-M 'R -3 m'
_symmetry_Int_Tables_number 166
_symmetry_space_group_name_Hall '-R 3 2"'
_cell_length_a 7.6340
_cell_length_b 7.6340
_cell_length_c 46.9360
_cell_angle_alpha 90.00
_cell_angle_beta 90.00
_cell_angle_gamma 120.00
loop_
_atom_site_label
_atom_site_fract_x
_atom_site_fract_y
_atom_site_fract_z
Rb1 0.0000 0.0000 0.1402
Rb2 0.0000 0.0000 0.3087
Tl1 0.0000 0.0000 0.4163
Tc1 0.0000 0.0000 0.0000
Tc2 0.0000 0.0000 0.5000
Br1 0.0154 0.5077 0.1348
Br2 0.0184 0.5092 0.6987
```

Most intense lines, 15° ≤ 2θ ≤ 90°, in order of rising 2θ:
(1 1 0), 2θ = 23.29°, rel. 45
(0 2 7), 2θ = 30.14°, rel. 100
(1 1 12), 2θ = 32.78°, rel. 40
(0 0 18), 2θ = 34.34°, rel. 83
(2 2 0), 2θ = 47.65°, rel. 48
(2 2 18), 2θ = 60.06°, rel. 37

***

[6]
Diffraction record for Li3Mg3Tl. The powder diffraction line list is simulated, not measured: it uses a cell relaxed with PBE and Cu Kα, 1.54184 Å.

Atomic structure:
```
data_Li3Mg3Tl
_chemical_formula_sum 'Li12 Mg12 Tl4'
_symmetry_space_group_name_H-M 'P 21 3'
_symmetry_Int_Tables_number 198
_symmetry_space_group_name_Hall 'P 2ac 2ab 3'
_cell_length_a 8.4586
_cell_length_b 8.4586
_cell_length_c 8.4586
_cell_angle_alpha 90.00
_cell_angle_beta 90.00
_cell_angle_gamma 90.00
loop_
_atom_site_label
_atom_site_fract_x
_atom_site_fract_y
_atom_site_fract_z
Li1 0.0482 0.3044 0.8547
Mg1 0.0316 0.4684 0.5316
Mg2 0.1432 0.8568 0.3568
Mg3 0.1806 0.1806 0.1806
Tl1 0.1207 0.6207 0.8793
```

Most intense lines, 15° ≤ 2θ ≤ 90°, in order of rising 2θ:
(1 1 1), 2θ = 18.17°, rel. 29
(2 1 0), 2θ = 23.52°, rel. 100
(2 1 1), 2θ = 25.80°, rel. 66
(3 0 2), 2θ = 38.37°, rel. 40
(3 1 2), 2θ = 39.88°, rel. 47
(4 2 1), 2θ = 49.37°, rel. 34